1.
For Na8SnS6, a crystal structure in Alexandria, relaxed with PBE gives the calculated powder diffractogram in this record (Cu Kα (weighted mean of Kα1 and Kα2)).
Lines closer than 0.1° are merged.

Cell and atoms:
```
Na8SnS6
1.0
7.998 0.000 0.000
0.000 8.289 0.000
0.000 0.000 11.507
Na Sn S
16 2 12
Cartesian
0.000 1.134 0.000 Na
0.000 1.890 5.162 Na
1.519 5.444 1.276 Na
1.590 4.815 9.202 Na
1.837 7.834 8.803 Na
2.162 0.455 3.050 Na
2.409 3.474 3.449 Na
2.480 2.844 7.029 Na
3.999 6.399 10.915 Na
3.999 7.154 5.753 Na
5.517 2.844 7.029 Na
5.589 3.474 3.449 Na
5.836 0.455 3.050 Na
6.161 7.834 8.803 Na
6.408 4.815 9.202 Na
6.479 5.444 1.276 Na
0.000 6.115 5.341 Sn
3.999 2.174 11.094 Sn
0.000 2.290 2.550 S
0.000 4.138 6.799 S
0.000 6.512 10.761 S
0.000 8.064 6.758 S
1.979 6.135 3.961 S
2.020 2.154 9.714 S
3.999 0.225 1.005 S
3.999 1.777 5.008 S
3.999 4.150 1.045 S
3.999 5.998 8.303 S
5.978 2.154 9.714 S
6.019 6.135 3.961 S
```

Main lines, most intense first (10 to 90 degrees two-theta):
d = 3.284 Å, I 100.0; d = 6.567 Å, I 94.8; d = 4.069 Å, I 83.4; d = 5.755 Å, I 82.4; d = 2.034 Å, I 75.4; d = 6.725 Å, I 58.6; d = 3.363 Å, I 58.2; d = 3.505 Å, I 41.4

---

2.
For Na2SnS2, a crystal structure in Alexandria, relaxed with PBE gives the calculated powder diffractogram in this record (Cu Kα (weighted mean of Kα1 and Kα2)).
Lines closer than 0.1° are merged.

Cell and atoms:
```
Na2SnS2
1.0
7.681 0.000 0.000
0.000 5.057 0.000
0.000 0.000 13.855
Na Sn S
8 4 8
Cartesian
0.248 1.264 1.403 Na
1.195 1.264 10.539 Na
2.646 3.793 3.612 Na
3.593 3.793 8.330 Na
4.089 1.264 5.525 Na
5.035 1.264 10.244 Na
6.487 3.793 3.316 Na
7.433 3.793 12.452 Na
0.696 1.264 6.652 Sn
3.145 3.793 13.579 Sn
4.537 1.264 0.276 Sn
6.985 3.793 7.204 Sn
1.198 3.793 1.210 S
1.489 1.264 4.360 S
2.351 3.793 11.288 S
2.643 1.264 8.137 S
5.038 3.793 5.718 S
5.330 1.264 2.568 S
6.192 3.793 9.495 S
6.484 1.264 12.645 S
```

Main lines, most intense first (10 to 90 degrees two-theta):
d = 4.040 Å, I 100.0; d = 6.718 Å, I 75.3; d = 6.928 Å, I 73.3; d = 3.059 Å, I 46.3; d = 3.958 Å, I 45.4; d = 2.528 Å, I 43.4; d = 2.293 Å, I 38.1; d = 2.048 Å, I 29.5

---

3.
For Na2SnS3, a crystal structure in Alexandria, relaxed with PBE gives the calculated powder diffractogram in this record (Cu Kα (weighted mean of Kα1 and Kα2)).
Lines closer than 0.1° are merged.

Cell and atoms:
```
Na2SnS3
1.0
-2.017 6.502 3.270
2.017 -6.502 3.270
2.017 6.502 -3.270
Na Sn S
2 1 3
Cartesian
0.000 2.141 0.000 Na
0.000 10.863 0.000 Na
2.017 0.000 3.054 Sn
2.017 -2.015 1.835 S
2.017 2.015 1.835 S
0.000 0.000 4.615 S
```

Main lines, most intense first (10 to 90 degrees two-theta):
d = 5.842 Å, I 100.0; d = 3.434 Å, I 99.2; d = 3.613 Å, I 81.4; d = 2.192 Å, I 79.1; d = 6.502 Å, I 54.7; d = 1.833 Å, I 30.3; d = 3.853 Å, I 28.8; d = 3.036 Å, I 24.1

---

4.
For NaSnS4, a crystal structure in Alexandria, relaxed with PBE gives the calculated powder diffractogram in this record (Cu Kα (weighted mean of Kα1 and Kα2)).
Lines closer than 0.1° are merged.

Cell and atoms:
```
NaSnS4
1.0
3.457 -6.983 0.000
3.457 6.983 0.000
-1.033 0.000 6.469
Na Sn S
2 2 8
Cartesian
2.682 5.427 4.852 Na
3.199 -5.427 1.617 Na
3.199 0.575 1.617 Sn
2.682 -0.575 4.852 Sn
2.403 3.182 2.241 S
0.876 0.757 5.961 S
1.392 -0.757 2.727 S
3.995 3.182 0.994 S
1.886 -3.182 5.476 S
4.489 0.757 3.743 S
5.005 -0.757 0.508 S
3.478 -3.182 4.229 S
```

Main lines, most intense first (10 to 90 degrees two-theta):
d = 6.134 Å, I 100.0; d = 6.983 Å, I 48.4; d = 2.451 Å, I 31.9; d = 2.374 Å, I 30.2; d = 4.746 Å, I 28.0; d = 2.707 Å, I 26.4; d = 2.402 Å, I 25.1; d = 2.936 Å, I 19.6

---

5.
For Na4Sn3S8, a crystal structure in Alexandria, relaxed with PBE gives the calculated powder diffractogram in this record (Cu Kα (weighted mean of Kα1 and Kα2)).
Lines closer than 0.1° are merged.

Cell and atoms:
```
Na4Sn3S8
1.0
5.774 -3.650 0.000
5.774 3.650 0.000
-1.714 0.000 17.893
Na Sn S
8 6 16
Cartesian
1.401 0.876 2.890 Na
1.886 1.071 6.618 Na
0.544 -0.876 11.837 Na
1.029 -1.071 15.564 Na
8.805 1.071 2.329 Na
9.289 0.876 6.056 Na
7.948 -1.071 11.275 Na
8.432 -0.876 15.003 Na
4.544 1.219 0.573 Sn
5.345 0.628 4.473 Sn
6.146 1.219 8.373 Sn
3.687 -1.219 9.520 Sn
4.488 -0.628 13.420 Sn
5.289 -1.219 17.320 Sn
5.209 2.371 2.686 S
2.334 0.195 0.273 S
5.482 2.371 6.260 S
1.477 -0.195 9.220 S
2.412 0.535 13.379 S
4.590 1.118 10.247 S
4.387 1.118 16.593 S
3.268 -0.535 4.433 S
6.565 0.535 13.460 S
5.447 -1.118 1.300 S
5.244 -1.118 7.646 S
7.422 -0.535 4.514 S
8.356 0.195 8.673 S
4.352 -2.371 11.633 S
7.499 -0.195 17.620 S
4.625 -2.371 15.207 S
```

Main lines, most intense first (10 to 90 degrees two-theta):
d = 5.920 Å, I 100.0; d = 6.162 Å, I 91.8; d = 3.387 Å, I 89.6; d = 2.682 Å, I 60.2; d = 3.535 Å, I 53.6; d = 4.473 Å, I 45.7; d = 2.740 Å, I 38.8; d = 2.086 Å, I 34.9

---

6.
For Na2SnS, a crystal structure in Alexandria, relaxed with PBE gives the calculated powder diffractogram in this record (Cu Kα (weighted mean of Kα1 and Kα2)).
Lines closer than 0.1° are merged.

Cell and atoms:
```
Na2SnS
1.0
6.218 0.000 0.000
1.333 7.541 0.000
1.508 3.572 9.388
Na Sn S
8 4 4
Cartesian
0.000 0.000 0.000 Na
0.754 1.786 4.694 Na
0.911 3.063 1.551 Na
1.895 5.981 3.119 Na
4.097 4.209 5.947 Na
4.961 6.903 3.441 Na
7.163 5.132 6.269 Na
8.147 8.049 7.837 Na
5.119 8.211 6.733 Sn
4.013 5.145 0.456 Sn
5.045 5.968 8.932 Sn
3.939 2.902 2.655 Sn
2.086 2.660 6.969 S
3.091 6.792 5.582 S
5.967 4.321 3.806 S
6.972 8.453 2.420 S
```

Main lines, most intense first (10 to 90 degrees two-theta):
d = 6.097 Å, I 100.0; d = 6.946 Å, I 74.0; d = 4.924 Å, I 66.4; d = 2.893 Å, I 60.3; d = 3.049 Å, I 52.5; d = 5.103 Å, I 44.0; d = 2.449 Å, I 35.7; d = 2.325 Å, I 31.4

---

7.
For NaSn3S4, a crystal structure in Alexandria, relaxed with PBE gives the calculated powder diffractogram in this record (Cu Kα (weighted mean of Kα1 and Kα2)).
Lines closer than 0.1° are merged.

Cell and atoms:
```
NaSn3S4
1.0
4.012 0.000 0.000
0.000 5.724 4.103
0.000 -5.724 4.103
Na Sn S
1 3 4
Cartesian
0.000 0.000 0.000 Na
0.000 0.000 4.102 Sn
2.006 -2.862 2.054 Sn
2.006 2.862 2.054 Sn
0.000 -2.857 4.096 S
0.000 2.857 4.096 S
2.006 0.000 2.096 S
2.006 0.000 6.108 S
```

Main lines, most intense first (10 to 90 degrees two-theta):
d = 2.866 Å, I 100.0; d = 2.026 Å, I 48.4; d = 3.335 Å, I 22.5; d = 3.286 Å, I 21.7; d = 6.669 Å, I 17.6; d = 1.667 Å, I 13.0; d = 2.051 Å, I 12.5; d = 1.643 Å, I 12.4

---

8.
For Na2TmSn3S6, a crystal structure in Alexandria, relaxed with PBE gives the calculated powder diffractogram in this record (Cu Kα (weighted mean of Kα1 and Kα2)).
Lines closer than 0.1° are merged.

Cell and atoms:
```
Na2TmSn3S6
1.0
3.493 -6.121 0.000
3.493 6.121 0.000
-2.334 0.000 6.630
Na Tm Sn S
2 1 3 6
Cartesian
3.493 4.052 0.000 Na
3.493 -4.052 0.000 Na
3.493 0.000 0.000 Tm
-1.167 0.000 3.315 Sn
2.326 1.985 3.315 Sn
2.326 -1.985 3.315 Sn
0.037 1.847 5.030 S
1.297 0.000 1.690 S
0.037 -1.847 5.030 S
4.614 1.847 1.600 S
3.355 0.000 4.941 S
4.614 -1.847 1.600 S
```

Main lines, most intense first (10 to 90 degrees two-theta):
d = 2.874 Å, I 100.0; d = 2.023 Å, I 53.4; d = 2.859 Å, I 50.2; d = 3.323 Å, I 40.1; d = 2.032 Å, I 36.3; d = 5.802 Å, I 24.3; d = 1.282 Å, I 23.8; d = 1.661 Å, I 18.1

---

Copy entry 1 word for word.
For Na8SnS6, a crystal structure in Alexandria, relaxed with PBE gives the calculated powder diffractogram in this record (Cu Kα (weighted mean of Kα1 and Kα2)).
Lines closer than 0.1° are merged.

Cell and atoms:
```
Na8SnS6
1.0
7.998 0.000 0.000
0.000 8.289 0.000
0.000 0.000 11.507
Na Sn S
16 2 12
Cartesian
0.000 1.134 0.000 Na
0.000 1.890 5.162 Na
1.519 5.444 1.276 Na
1.590 4.815 9.202 Na
1.837 7.834 8.803 Na
2.162 0.455 3.050 Na
2.409 3.474 3.449 Na
2.480 2.844 7.029 Na
3.999 6.399 10.915 Na
3.999 7.154 5.753 Na
5.517 2.844 7.029 Na
5.589 3.474 3.449 Na
5.836 0.455 3.050 Na
6.161 7.834 8.803 Na
6.408 4.815 9.202 Na
6.479 5.444 1.276 Na
0.000 6.115 5.341 Sn
3.999 2.174 11.094 Sn
0.000 2.290 2.550 S
0.000 4.138 6.799 S
0.000 6.512 10.761 S
0.000 8.064 6.758 S
1.979 6.135 3.961 S
2.020 2.154 9.714 S
3.999 0.225 1.005 S
3.999 1.777 5.008 S
3.999 4.150 1.045 S
3.999 5.998 8.303 S
5.978 2.154 9.714 S
6.019 6.135 3.961 S
```

Main lines, most intense first (10 to 90 degrees two-theta):
d = 3.284 Å, I 100.0; d = 6.567 Å, I 94.8; d = 4.069 Å, I 83.4; d = 5.755 Å, I 82.4; d = 2.034 Å, I 75.4; d = 6.725 Å, I 58.6; d = 3.363 Å, I 58.2; d = 3.505 Å, I 41.4